# 1
Diffraction record for GaPb4Se6. The powder XRD pattern is calculated, not measured: it uses a structure optimized by DFT (GGA-PBE) and λ = 1.5418 Å (Cu Kα).
No peak broadening, texture or thermal motion is included.

Largest 10 diffraction maxima, sorted by position, 5 to 70 degrees two-theta:
20.80 deg, rel. 28; 21.43 deg, rel. 100; 23.82 deg, rel. 86; 26.25 deg, rel. 37; 27.05 deg, rel. 33; 28.25 deg, rel. 48; 39.01 deg, rel. 28; 39.78 deg, rel. 39; 42.31 deg, rel. 48; 43.93 deg, rel. 27

Structure:
a = 8.623 Å, b = 8.623 Å, c = 13.695 Å
α = 114.64°, β = 114.64°, γ = 54.26°
Fractional positions:
Ga: 0.222 0.778 0.500
Ga: 0.778 0.222 0.000
Pb: 0.237 0.917 0.260
Pb: 0.242 0.310 0.573
Pb: 0.289 0.642 0.908
Pb: 0.310 0.242 0.073
Pb: 0.625 0.833 0.763
Pb: 0.642 0.289 0.408
Pb: 0.833 0.625 0.263
Pb: 0.917 0.237 0.760
Se: 0.023 0.502 0.734
Se: 0.186 0.631 0.303
Se: 0.299 0.967 0.867
Se: 0.446 0.514 0.601
Se: 0.454 0.886 0.540
Se: 0.502 0.023 0.234
Se: 0.514 0.446 0.101
Se: 0.631 0.186 0.803
Se: 0.886 0.454 0.040
Se: 0.902 0.983 0.540
Se: 0.967 0.299 0.367
Se: 0.983 0.902 0.040


# 2
Diffraction record for Nb3Te4S2. The powder XRD pattern is calculated, not measured: it uses a structure optimized by DFT (GGA-PBE) and λ = 1.5418 Å (Cu Kα).
No peak broadening, texture or thermal motion is included.

Largest 10 diffraction maxima, sorted by position, 5 to 70 degrees two-theta:
12.04 deg, rel. 63; 29.10 deg, rel. 57; 29.39 deg, rel. 23; 33.42 deg, rel. 56; 35.65 deg, rel. 100; 38.21 deg, rel. 15; 41.07 deg, rel. 39; 44.17 deg, rel. 23; 51.59 deg, rel. 45; 64.29 deg, rel. 17

Structure:
a = 3.543 Å, b = 3.543 Å, c = 22.045 Å
α = 90.00°, β = 90.00°, γ = 120.00°
Fractional positions:
Nb: 0.000 0.000 0.000
Nb: 0.000 0.000 0.345
Nb: 0.667 0.333 0.684
Te: 0.000 0.000 0.598
Te: 0.000 0.000 0.772
Te: 0.667 0.333 0.257
Te: 0.667 0.333 0.431
S: 0.667 0.333 0.068
S: 0.667 0.333 0.931


# 3
Diffraction record for PmDy2ErTh. The powder XRD pattern is calculated, not measured: it uses a structure optimized by DFT (GGA-PBE) and λ = 1.5418 Å (Cu Kα).
No peak broadening, texture or thermal motion is included.

Largest 10 diffraction maxima, sorted by position, 5 to 70 degrees two-theta:
14.96 deg, rel. 36; 25.69 deg, rel. 37; 28.84 deg, rel. 50; 29.92 deg, rel. 37; 30.17 deg, rel. 75; 32.25 deg, rel. 46; 33.30 deg, rel. 100; 36.08 deg, rel. 67; 38.92 deg, rel. 51; 45.55 deg, rel. 73

Structure:
a = 7.310 Å, b = 7.310 Å, c = 6.917 Å
α = 90.00°, β = 90.00°, γ = 108.26°
Fractional positions:
Pm: 0.232 0.768 0.750
Pm: 0.768 0.232 0.250
Dy: 0.183 0.183 0.000
Dy: 0.183 0.183 0.500
Dy: 0.817 0.817 0.000
Dy: 0.817 0.817 0.500
Er: 0.223 0.777 0.250
Er: 0.777 0.223 0.750
Th: 0.498 0.502 0.250
Th: 0.502 0.498 0.750


# 4
Diffraction record for PmZn7Pd5. The powder XRD pattern is calculated, not measured: it uses a structure optimized by DFT (GGA-PBE) and λ = 1.5418 Å (Cu Kα).
No peak broadening, texture or thermal motion is included.

Largest 10 diffraction maxima, sorted by position, 5 to 70 degrees two-theta:
34.12 deg, rel. 26; 34.91 deg, rel. 30; 38.43 deg, rel. 86; 38.75 deg, rel. 68; 40.05 deg, rel. 72; 40.17 deg, rel. 53; 40.44 deg, rel. 61; 41.40 deg, rel. 51; 43.87 deg, rel. 100; 45.44 deg, rel. 27

Structure:
a = 6.836 Å, b = 6.836 Å, c = 6.836 Å
α = 132.63°, β = 97.89°, γ = 100.69°
Fractional positions:
Pm: 0.000 0.000 0.000
Zn: 0.206 0.493 0.713
Zn: 0.329 0.979 0.350
Zn: 0.342 0.342 0.000
Zn: 0.630 0.979 0.650
Zn: 0.643 0.643 0.000
Zn: 0.765 0.265 0.500
Zn: 0.780 0.493 0.287
Pd: 0.208 0.708 0.500
Pd: 0.501 0.488 0.509
Pd: 0.501 0.992 0.013
Pd: 0.979 0.488 0.987
Pd: 0.979 0.992 0.491


# 5
Diffraction record for NdNp6S8. The powder XRD pattern is calculated, not measured: it uses a structure optimized by DFT (GGA-PBE) and λ = 1.5418 Å (Cu Kα).
No peak broadening, texture or thermal motion is included.

Largest 10 diffraction maxima, sorted by position, 5 to 70 degrees two-theta:
15.99 deg, rel. 16; 22.69 deg, rel. 15; 27.88 deg, rel. 94; 32.31 deg, rel. 100; 36.24 deg, rel. 9; 39.84 deg, rel. 7; 46.34 deg, rel. 73; 54.95 deg, rel. 48; 57.62 deg, rel. 26; 67.62 deg, rel. 12

Structure:
a = 7.838 Å, b = 7.838 Å, c = 7.838 Å
α = 60.00°, β = 60.00°, γ = 60.00°
Fractional positions:
Nd: 0.000 0.000 0.000
Np: 0.000 0.000 0.500
Np: 0.000 0.500 0.000
Np: 0.000 0.500 0.500
Np: 0.500 0.000 0.000
Np: 0.500 0.000 0.500
Np: 0.500 0.500 0.000
S: 0.250 0.250 0.250
S: 0.256 0.256 0.744
S: 0.256 0.744 0.256
S: 0.256 0.744 0.744
S: 0.744 0.256 0.256
S: 0.744 0.256 0.744
S: 0.744 0.744 0.256
S: 0.750 0.750 0.750


# 6
Diffraction record for Ba8P3Cl4F. The powder XRD pattern is calculated, not measured: it uses a structure optimized by DFT (GGA-PBE) and λ = 1.5418 Å (Cu Kα).
No peak broadening, texture or thermal motion is included.

Largest 10 diffraction maxima, sorted by position, 5 to 70 degrees two-theta:
23.54 deg, rel. 16; 23.88 deg, rel. 51; 27.54 deg, rel. 100; 39.14 deg, rel. 34; 39.56 deg, rel. 38; 46.55 deg, rel. 16; 48.88 deg, rel. 20; 56.86 deg, rel. 11; 64.03 deg, rel. 13; 64.62 deg, rel. 17

Structure:
a = 9.113 Å, b = 9.113 Å, c = 9.208 Å
α = 119.66°, β = 119.66°, γ = 59.98°
Fractional positions:
Ba: 0.240 0.743 0.725
Ba: 0.244 0.244 0.731
Ba: 0.257 0.257 0.274
Ba: 0.257 0.760 0.275
Ba: 0.743 0.240 0.725
Ba: 0.743 0.743 0.726
Ba: 0.756 0.756 0.269
Ba: 0.760 0.257 0.275
P: 0.000 0.000 0.500
P: 0.000 0.500 0.500
P: 0.500 0.000 0.500
Cl: 0.000 0.000 0.000
Cl: 0.000 0.500 0.000
Cl: 0.500 0.000 0.000
Cl: 0.500 0.500 0.000
F: 0.500 0.500 0.500


# 7
Diffraction record for KPr2F7. The powder XRD pattern is calculated, not measured: it uses a structure optimized by DFT (GGA-PBE) and λ = 1.5418 Å (Cu Kα).
No peak broadening, texture or thermal motion is included.

Largest 10 diffraction maxima, sorted by position, 5 to 70 degrees two-theta:
20.73 deg, rel. 18; 21.43 deg, rel. 39; 26.04 deg, rel. 100; 29.56 deg, rel. 21; 42.29 deg, rel. 33; 42.56 deg, rel. 19; 43.60 deg, rel. 45; 50.34 deg, rel. 33; 61.33 deg, rel. 13; 61.56 deg, rel. 12

Structure:
a = 9.086 Å, b = 9.086 Å, c = 9.086 Å
α = 152.80°, β = 152.80°, γ = 38.85°
Fractional positions:
K: 0.000 0.000 0.000
Pr: 0.349 0.349 0.000
Pr: 0.651 0.651 0.000
F: 0.101 0.601 0.500
F: 0.250 0.750 0.500
F: 0.399 0.899 0.500
F: 0.500 0.500 0.000
F: 0.601 0.101 0.500
F: 0.750 0.250 0.500
F: 0.899 0.399 0.500


# 8
Diffraction record for Pm3PaTl3Te8. The powder XRD pattern is calculated, not measured: it uses a structure optimized by DFT (GGA-PBE) and λ = 1.5418 Å (Cu Kα).
No peak broadening, texture or thermal motion is included.

Largest 10 diffraction maxima, sorted by position, 5 to 70 degrees two-theta:
11.90 deg, rel. 12; 27.03 deg, rel. 100; 37.09 deg, rel. 39; 40.05 deg, rel. 36; 43.89 deg, rel. 7; 48.98 deg, rel. 20; 55.72 deg, rel. 13; 60.91 deg, rel. 15; 64.83 deg, rel. 5; 65.06 deg, rel. 17

Structure:
a = 9.753 Å, b = 9.753 Å, c = 9.753 Å
α = 54.99°, β = 54.99°, γ = 54.99°
Fractional positions:
Pm: 0.000 0.500 0.500
Pm: 0.500 0.000 0.500
Pm: 0.500 0.500 0.000
Pa: 0.000 0.000 0.000
Tl: 0.000 0.000 0.500
Tl: 0.000 0.500 0.000
Tl: 0.500 0.000 0.000
Te: 0.235 0.235 0.745
Te: 0.235 0.745 0.235
Te: 0.255 0.765 0.765
Te: 0.260 0.260 0.260
Te: 0.740 0.740 0.740
Te: 0.745 0.235 0.235
Te: 0.765 0.255 0.765
Te: 0.765 0.765 0.255


# 9
Diffraction record for Ho2In5Sn. The powder XRD pattern is calculated, not measured: it uses a structure optimized by DFT (GGA-PBE) and λ = 1.5418 Å (Cu Kα).
No peak broadening, texture or thermal motion is included.

Largest 10 diffraction maxima, sorted by position, 5 to 70 degrees two-theta:
33.35 deg, rel. 99; 33.53 deg, rel. 100; 38.60 deg, rel. 66; 39.22 deg, rel. 33; 55.96 deg, rel. 12; 56.20 deg, rel. 44; 66.41 deg, rel. 24; 66.73 deg, rel. 26; 67.37 deg, rel. 13; 67.47 deg, rel. 13

Structure:
a = 6.623 Å, b = 13.146 Å, c = 4.594 Å
α = 90.00°, β = 90.00°, γ = 90.00°
Fractional positions:
Ho: 0.236 0.122 0.000
Ho: 0.264 0.622 0.000
Ho: 0.736 0.378 0.000
Ho: 0.764 0.878 0.000
In: 0.000 0.500 0.500
In: 0.014 0.749 0.500
In: 0.236 0.371 0.000
In: 0.264 0.871 0.000
In: 0.486 0.249 0.500
In: 0.500 0.000 0.500
In: 0.514 0.751 0.500
In: 0.736 0.129 0.000
In: 0.764 0.629 0.000
In: 0.986 0.251 0.500
Sn: 0.000 0.000 0.500
Sn: 0.500 0.500 0.500


Repeat the eighth record exactly.
Diffraction record for Pm3PaTl3Te8. The powder XRD pattern is calculated, not measured: it uses a structure optimized by DFT (GGA-PBE) and λ = 1.5418 Å (Cu Kα).
No peak broadening, texture or thermal motion is included.

Largest 10 diffraction maxima, sorted by position, 5 to 70 degrees two-theta:
11.90 deg, rel. 12; 27.03 deg, rel. 100; 37.09 deg, rel. 39; 40.05 deg, rel. 36; 43.89 deg, rel. 7; 48.98 deg, rel. 20; 55.72 deg, rel. 13; 60.91 deg, rel. 15; 64.83 deg, rel. 5; 65.06 deg, rel. 17

Structure:
a = 9.753 Å, b = 9.753 Å, c = 9.753 Å
α = 54.99°, β = 54.99°, γ = 54.99°
Fractional positions:
Pm: 0.000 0.500 0.500
Pm: 0.500 0.000 0.500
Pm: 0.500 0.500 0.000
Pa: 0.000 0.000 0.000
Tl: 0.000 0.000 0.500
Tl: 0.000 0.500 0.000
Tl: 0.500 0.000 0.000
Te: 0.235 0.235 0.745
Te: 0.235 0.745 0.235
Te: 0.255 0.765 0.765
Te: 0.260 0.260 0.260
Te: 0.740 0.740 0.740
Te: 0.745 0.235 0.235
Te: 0.765 0.255 0.765
Te: 0.765 0.765 0.255


Which formula does entry 6 have?
Ba8P3Cl4F


Number 8 is which compound?
Pm3PaTl3Te8